The following is a computed X-ray powder pattern of PuZnCo2O6. It was derived from a cell relaxed with GGA+U, using Cu Kα.
No peak broadening, texture or thermal motion is included.

Peak list (8 most intense, 15 to 90 degrees two-theta, low angle first)
| Position (°2θ) | I/Imax |
| --- | --- |
| 20.61 | 52 |
| 23.29 | 82 |
| 31.93 | 100 |
| 34.36 | 98 |
| 39.37 | 35 |
| 47.61 | 37 |
| 51.99 | 60 |
| 60.02 | 36 |

Crystal structure
a b c (Å): 5.6356 5.6356 5.6356
angles (deg): 55.18 55.18 55.18
Fractional coordinates of all 10 atoms:
Pu (0.0000, 0.0000, 0.0000)
Zn (0.4842, 0.4842, 0.4842)
Co (0.2091, 0.2091, 0.2091)
Co (0.6868, 0.6868, 0.6868)
O (0.0649, 0.7908, 0.4260)
O (0.3175, 0.5851, 0.8962)
O (0.4260, 0.0649, 0.7908)
O (0.5851, 0.8962, 0.3175)
O (0.7908, 0.4260, 0.0649)
O (0.8962, 0.3175, 0.5851)